Record 1
Diffraction record for RbSrCO3F. The powder diffractogram is simulated, not measured: it uses DFT lattice parameters and positions (PBE) and CuKα.
Peak positions follow from Bragg's law for the DFT cell and can differ from measured ones.

Atomic structure:
Cell lengths 5.3748, 5.3748, 4.8653 Å; angles 90.00, 90.00, 120.00 degrees
Space group P-6m2 (No. 187)
Symmetry-distinct sites (fractional):
Rb  0.0000  0.0000  0.0000 (multiplicity 1)
Sr  0.3333  0.6667  0.5000 (multiplicity 1)
C  0.6667  0.3333  0.5000 (multiplicity 1)
O  0.3866  0.1933  0.5000 (multiplicity 3)
F  0.3333  0.6667  0.0000 (multiplicity 1)

Largest 6 diffraction maxima, low angle first, 10° ≤ 2θ ≤ 80°:
2θ = 19.07°, I 28, (1 0 0)
2θ = 26.50°, I 100, (1 0 1)
2θ = 33.34°, I 60, (1 1 0)
2θ = 36.95°, I 26, (0 0 2)
2θ = 43.08°, I 46, (2 0 1)
2θ = 50.61°, I 35, (1 1 2)


Record 2
Diffraction record for RuC4O4F6. The powder diffractogram is simulated, not measured: it uses DFT lattice parameters and positions (PBE) and CuKα.
Peak positions follow from Bragg's law for the DFT cell and can differ from measured ones.

Atomic structure:
Cell lengths 5.344, 8.747, 9.253 Å; angles 81.94, 84.17, 87.12 degrees
Space group P-1 (No. 2)
Symmetry-distinct sites (fractional):
Ru  0.180  0.465  0.057 (multiplicity 2)
C  0.044  0.243  0.877 (multiplicity 2)
C  0.076  0.098  0.798 (multiplicity 2)
C  0.272  0.640  0.765 (multiplicity 2)
C  0.432  0.716  0.626 (multiplicity 2)
O  0.037  0.643  0.763 (multiplicity 2)
O  0.144  0.667  0.152 (multiplicity 2)
O  0.212  0.263  0.960 (multiplicity 2)
O  0.394  0.578  0.872 (multiplicity 2)
F  0.149  0.956  0.221 (multiplicity 2)
F  0.205  0.133  0.665 (multiplicity 2)
F  0.207  0.982  0.875 (multiplicity 2)
F  0.286  0.773  0.519 (multiplicity 2)
F  0.401  0.391  0.424 (multiplicity 2)
F  0.437  0.167  0.340 (multiplicity 2)

Largest 6 diffraction maxima, low angle first, 10° ≤ 2θ ≤ 80°:
2θ = 10.22°, I 100, (0 1 0)
2θ = 13.11°, I 98, (0 1 1)
2θ = 21.50°, I 89, (0 2 1)
2θ = 22.95°, I 46, (1 1 -1)
2θ = 23.25°, I 41, (0 1 -2)
2θ = 37.91°, I 49, (1 1 -3)


Record 3
Diffraction record for Sb2RuC6O6F12. The powder diffractogram is simulated, not measured: it uses DFT lattice parameters and positions (PBE) and CuKα.
Peak positions follow from Bragg's law for the DFT cell and can differ from measured ones.

Atomic structure:
Cell lengths 8.450, 8.450, 12.671 Å; angles 90.00, 90.00, 90.00 degrees
Space group P4/mnc (No. 128)
Symmetry-distinct sites (fractional):
Sb  0.000  0.500  0.250 (multiplicity 4)
Ru  0.000  0.000  0.000 (multiplicity 2)
C  0.000  0.000  0.159 (multiplicity 4)
C  0.129  0.201  0.000 (multiplicity 8)
O  0.000  0.000  0.248 (multiplicity 4)
O  0.185  0.300  0.500 (multiplicity 8)
F  0.107  0.619  0.142 (multiplicity 16)
F  0.160  0.340  0.250 (multiplicity 8)

Largest 6 diffraction maxima, low angle first, 10° ≤ 2θ ≤ 80°:
2θ = 12.59°, I 54, (1 0 1)
2θ = 14.83°, I 33, (1 1 0)
2θ = 20.43°, I 100, (1 1 2)
2θ = 21.03°, I 40, (2 0 0)
2θ = 25.34°, I 26, (2 0 2)
2θ = 29.91°, I 35, (2 2 0)


Record 4
Diffraction record for ZnC2S2O6F6. The powder diffractogram is simulated, not measured: it uses DFT lattice parameters and positions (PBE) and CuKα.
Peak positions follow from Bragg's law for the DFT cell and can differ from measured ones.

Atomic structure:
Cell lengths 5.0781, 5.0781, 31.5190 Å; angles 90.00, 90.00, 120.00 degrees
Space group R-3 (No. 148, hexagonal axes)
Symmetry-distinct sites (fractional):
Zn  0.0000  0.0000  0.0000 (multiplicity 3)
C  0.0000  0.0000  0.2231 (multiplicity 6)
S  0.0000  0.0000  0.2826 (multiplicity 6)
O  0.0339  0.4112  0.3730 (multiplicity 18)
F  0.0210  0.2600  0.2087 (multiplicity 18)

Largest 6 diffraction maxima, low angle first, 10° ≤ 2θ ≤ 80°:
2θ = 20.39°, I 20, (1 0 1)
2θ = 23.16°, I 100, (1 0 4)
2θ = 28.37°, I 18, (1 0 7)
2θ = 35.03°, I 23, (1 0 10)
2θ = 36.40°, I 17, (1 1 3)
2θ = 39.42°, I 32, (2 -1 6)


Record 5
Diffraction record for Sb2C3OF18. The powder diffractogram is simulated, not measured: it uses DFT lattice parameters and positions (PBE) and CuKα.
Peak positions follow from Bragg's law for the DFT cell and can differ from measured ones.

Atomic structure:
Cell lengths 8.907, 10.395, 10.422 Å; angles 78.33, 66.47, 68.49 degrees
Space group P-1 (No. 2)
Symmetry-distinct sites (fractional):
Sb  0.156  0.183  0.325 (multiplicity 2)
Sb  0.318  0.919  0.809 (multiplicity 2)
C  0.252  0.520  0.298 (multiplicity 2)
C  0.270  0.409  0.814 (multiplicity 2)
C  0.451  0.298  0.769 (multiplicity 2)
O  0.450  0.718  0.348 (multiplicity 2)
F  0.082  0.747  0.572 (multiplicity 2)
F  0.085  0.007  0.824 (multiplicity 2)
F  0.113  0.266  0.161 (multiplicity 2)
F  0.142  0.444  0.318 (multiplicity 2)
F  0.149  0.351  0.831 (multiplicity 2)
F  0.160  0.653  0.295 (multiplicity 2)
F  0.190  0.996  0.320 (multiplicity 2)
F  0.203  0.186  0.485 (multiplicity 2)
F  0.232  0.462  0.936 (multiplicity 2)
F  0.266  0.513  0.713 (multiplicity 2)
F  0.293  0.761  0.933 (multiplicity 2)
F  0.309  0.485  0.404 (multiplicity 2)
F  0.315  0.005  0.954 (multiplicity 2)
F  0.383  0.489  0.176 (multiplicity 2)
F  0.385  0.810  0.657 (multiplicity 2)
F  0.394  0.186  0.217 (multiplicity 2)
F  0.411  0.051  0.679 (multiplicity 2)
F  0.483  0.221  0.883 (multiplicity 2)

Largest 6 diffraction maxima, low angle first, 10° ≤ 2θ ≤ 80°:
2θ = 13.47°, I 58, (0 1 -1)
2θ = 17.95°, I 100, (1 2 1)
2θ = 18.04°, I 70, (1 0 2)
2θ = 18.61°, I 68, (0 0 2)
2θ = 21.17°, I 67, (0 2 -1)
2θ = 24.46°, I 49, (2 2 0)